(1)
Computed powder X-ray diffraction pattern
Compound: Cs2KScCl6
Radiation: Cu Kα, 1.54184 Å
Structure: a DFT-relaxed cell (PBE, the Materials Project)
Intensities are scaled so that the largest is 100.

The 6 most intense peaks (10 to 90 degrees two-theta), low angle first:
- 2θ 22.69, I = 100
- 2θ 27.88, I = 76
- 2θ 32.31, I = 79
- 2θ 39.84, I = 42
- 2θ 46.34, I = 51
- 2θ 54.95, I = 27

Structural model:
Unit cell a=7.8379 b=7.8379 c=7.8379 alpha=60.00 beta=60.00 gamma=60.00
Sites, in units of the cell vectors:
Cs1 0.2500 0.2500 0.2500
Cs2 0.7500 0.7500 0.7500
K1 0.0000 0.0000 0.0000
Sc1 0.5000 0.5000 0.5000
Cl1 0.2741 0.2741 0.7259
Cl2 0.2741 0.7259 0.2741
Cl3 0.2741 0.7259 0.7259
Cl4 0.7259 0.2741 0.2741
Cl5 0.7259 0.2741 0.7259
Cl6 0.7259 0.7259 0.2741

---

(2)
Computed powder X-ray diffraction pattern
Compound: Cs2KTbCl6
Radiation: Cu Kα, 1.54184 Å
Structure: a DFT-relaxed cell (PBE, the Materials Project)
Intensities are scaled so that the largest is 100.

The 6 most intense peaks (10 to 90 degrees two-theta), low angle first:
- 2θ 13.48, I = 26
- 2θ 22.10, I = 100
- 2θ 31.46, I = 62
- 2θ 38.78, I = 46
- 2θ 45.09, I = 42
- 2θ 60.95, I = 26

Structural model:
Unit cell a=8.0434 b=8.0434 c=8.0434 alpha=60.00 beta=60.00 gamma=60.00
Sites, in units of the cell vectors:
Cs1 0.2500 0.2500 0.2500
Cs2 0.7500 0.7500 0.7500
K1 0.0000 0.0000 0.0000
Tb1 0.5000 0.5000 0.5000
Cl1 0.2668 0.2668 0.7332
Cl2 0.2668 0.7332 0.2668
Cl3 0.2668 0.7332 0.7332
Cl4 0.7332 0.2668 0.2668
Cl5 0.7332 0.2668 0.7332
Cl6 0.7332 0.7332 0.2668

---

(3)
Computed powder X-ray diffraction pattern
Compound: Cs2KYCl6
Radiation: Cu Kα, 1.54184 Å
Structure: a DFT-relaxed cell (PBE, the Materials Project)
Intensities are scaled so that the largest is 100.

The 6 most intense peaks (10 to 90 degrees two-theta), low angle first:
- 2θ 22.14, I = 100
- 2θ 27.21, I = 46
- 2θ 31.52, I = 72
- 2θ 38.85, I = 45
- 2θ 45.17, I = 48
- 2θ 61.07, I = 25

Structural model:
Unit cell a=8.0291 b=8.0291 c=8.0291 alpha=60.00 beta=60.00 gamma=60.00
Sites, in units of the cell vectors:
Cs1 0.2500 0.2500 0.2500
Cs2 0.7500 0.7500 0.7500
K1 0.0000 0.0000 0.0000
Y1 0.5000 0.5000 0.5000
Cl1 0.2671 0.2671 0.7329
Cl2 0.2671 0.7329 0.2671
Cl3 0.2671 0.7329 0.7329
Cl4 0.7329 0.2671 0.2671
Cl5 0.7329 0.2671 0.7329
Cl6 0.7329 0.7329 0.2671

---

(4)
Computed powder X-ray diffraction pattern
Compound: Cs3LaCl6
Radiation: Cu Kα, 1.54184 Å
Structure: a DFT-relaxed cell (PBE, the Materials Project)
Intensities are scaled so that the largest is 100.

The 6 most intense peaks (10 to 90 degrees two-theta), low angle first:
- 2θ 20.69, I = 100
- 2θ 29.43, I = 55
- 2θ 36.25, I = 46
- 2θ 42.10, I = 38
- 2θ 47.36, I = 25
- 2θ 56.74, I = 28

Structural model:
Unit cell a=8.5845 b=8.5845 c=8.5845 alpha=60.00 beta=60.00 gamma=60.00
Sites, in units of the cell vectors:
Cs1 0.0000 0.0000 0.0000
Cs2 0.2500 0.2500 0.2500
Cs3 0.7500 0.7500 0.7500
La1 0.5000 0.5000 0.5000
Cl1 0.2712 0.2712 0.7288
Cl2 0.2712 0.7288 0.2712
Cl3 0.2712 0.7288 0.7288
Cl4 0.7288 0.2712 0.2712
Cl5 0.7288 0.2712 0.7288
Cl6 0.7288 0.7288 0.2712